The following is a calculated powder diffractogram of DyHoCu2. It was derived from a cell relaxed with PBE, using Cu Kα.

The 12 most intense peaks (10° ≤ 2θ ≤ 80°), by intensity:
| two_theta | I/Imax |
| --- | --- |
| 32.7 | 1000 |
| 41.3 | 462 |
| 35.8 | 399 |
| 26.4 | 384 |
| 40.3 | 313 |
| 34.9 | 240 |
| 55.0 | 232 |
| 40.5 | 187 |
| 49.5 | 172 |
| 65.6 | 144 |
| 54.4 | 136 |
| 68.9 | 123 |

Structure:
```
data_DyHoCu2
_cell_length_a 4.4759
_cell_length_b 3.6855
_cell_length_c 10.2696
_cell_angle_alpha 90.00
_cell_angle_beta 90.00
_cell_angle_gamma 90.00
_space_group_name_H-M_alt 'A m m 2'
_space_group_IT_number 38
loop_
_space_group_symop_operation_xyz
'x,y,z'
'-x,-y,z'
'-x,y,z'
'x,-y,z'
'x,y+1/2,z+1/2'
'-x,-y+1/2,z+1/2'
'-x,y+1/2,z+1/2'
'x,-y+1/2,z+1/2'
loop_
_atom_site_label
_atom_site_type_symbol
_atom_site_fract_x
_atom_site_fract_y
_atom_site_fract_z
_atom_site_occupancy
Dy1 Dy 0.0000 0.0000 0.0000 1
Ho1 Ho 0.5000 0.0000 0.2802 1
Cu1 Cu 0.0000 0.0000 0.7126 1
Cu2 Cu 0.5000 0.0000 0.5686 1
```